The following is a computed powder diffraction line list of In3H. It was derived from a cell relaxed with GGA-PBE, using λ = 1.5418 Å (Cu Kα).
Peak positions follow from Bragg's law for the DFT cell and can differ from measured ones.

Atomic structure:
a b c (Å): 5.478 5.478 5.478
angles (deg): 143.47 75.09 116.98
Fractional positions:
In 0.000 0.000 0.000
In 0.319 0.500 0.819
In 0.681 0.500 0.181
H 0.498 0.998 0.500

Principal peaks in the range 2θ = 15–90°, by intensity:
2θ (°), I (rel.)
36.88, 100
34.72, 94
31.24, 67
27.94, 65
42.41, 42
65.24, 36
59.35, 24
57.87, 21